1.
For Tc2NiSb6, DFT lattice parameters and positions (GGA-PBE) gives the theoretical powder diffractogram in this record (Cu Kα (weighted mean of Kα1 and Kα2)).
Lines closer than 0.1° are merged.

Main lines, in order of rising 2θ (2θ = 5–70°):
2θ = 22.06°, intensity 16; 2θ = 29.80°, intensity 7; 2θ = 32.16°, intensity 100; 2θ = 41.64°, intensity 50; 2θ = 46.68°, intensity 7; 2θ = 50.29°, intensity 32; 2θ = 54.41°, intensity 12; 2θ = 60.96°, intensity 15; 2θ = 67.28°, intensity 11; 2θ = 69.48°, intensity 7

Atomic structure:
abc: 6.2851 6.2851 5.9956
angles: 90.00 90.00 120.00
Atoms (fractional coordinates):
Tc 0.3333 0.6667 0.0000
Tc 0.6667 0.3333 0.0000
Ni 0.0000 0.0000 0.5000
Sb 0.0000 0.3497 0.2897
Sb 0.0000 0.6503 0.7103
Sb 0.3497 0.0000 0.2897
Sb 0.3497 0.3497 0.7103
Sb 0.6503 0.0000 0.7103
Sb 0.6503 0.6503 0.2897



2.
For Ce3Al3Ag2, DFT lattice parameters and positions (GGA-PBE) gives the theoretical powder diffractogram in this record (Cu Kα (weighted mean of Kα1 and Kα2)).
Lines closer than 0.1° are merged.

Main lines, in order of rising 2θ (2θ = 5–70°):
2θ = 20.17°, intensity 60; 2θ = 24.60°, intensity 17; 2θ = 34.57°, intensity 100; 2θ = 35.45°, intensity 95; 2θ = 39.01°, intensity 36; 2θ = 39.50°, intensity 36; 2θ = 43.34°, intensity 26; 2θ = 56.72°, intensity 24; 2θ = 60.07°, intensity 19; 2θ = 67.27°, intensity 13

Atomic structure:
abc: 17.1810 4.5626 4.6212
angles: 90.00 103.55 90.00
Atoms (fractional coordinates):
Ce 0.0000 0.0000 0.0000
Ce 0.1264 0.0000 0.6421
Ce 0.3736 0.5000 0.3579
Ce 0.5000 0.5000 0.0000
Ce 0.6264 0.5000 0.6421
Ce 0.8736 0.0000 0.3579
Al 0.0000 0.5000 0.5000
Al 0.1440 0.5000 0.1552
Al 0.3560 0.0000 0.8448
Al 0.5000 0.0000 0.5000
Al 0.6440 0.0000 0.1552
Al 0.8560 0.5000 0.8448
Ag 0.2459 0.0000 0.2485
Ag 0.2541 0.5000 0.7515
Ag 0.7459 0.5000 0.2485
Ag 0.7541 0.0000 0.7515



3.
For Tl2In6Pb, DFT lattice parameters and positions (GGA-PBE) gives the theoretical powder diffractogram in this record (Cu Kα (weighted mean of Kα1 and Kα2)).
Lines closer than 0.1° are merged.

Main lines, in order of rising 2θ (2θ = 5–70°):
2θ = 30.95°, intensity 59; 2θ = 31.79°, intensity 59; 2θ = 32.14°, intensity 56; 2θ = 33.69°, intensity 100; 2θ = 38.55°, intensity 33; 2θ = 39.44°, intensity 33; 2θ = 49.98°, intensity 15; 2θ = 51.20°, intensity 13; 2θ = 56.82°, intensity 19; 2θ = 64.56°, intensity 20

Atomic structure:
abc: 14.5609 14.5609 6.0522
angles: 96.50 96.50 23.75
Atoms (fractional coordinates):
Tl 0.0881 0.3545 0.2142
Tl 0.3545 0.0881 0.7142
Tl 0.6455 0.9119 0.2858
Tl 0.9119 0.6455 0.7858
In 0.0019 0.7725 0.0454
In 0.2217 0.4523 0.4102
In 0.2275 0.9981 0.4546
In 0.3164 0.5685 0.6725
In 0.4315 0.6836 0.8275
In 0.4523 0.2217 0.9102
In 0.5477 0.7783 0.0898
In 0.5685 0.3164 0.1725
In 0.6836 0.4315 0.3275
In 0.7725 0.0019 0.5454
In 0.7783 0.5477 0.5898
In 0.9981 0.2275 0.9546
Pb 0.1355 0.8645 0.2500
Pb 0.8645 0.1355 0.7500